KTl7Pd2: simulated X-ray diffraction stick pattern (λ = 1.5418 Å (Cu Kα)), based on the GGA-PBE geometry in Alexandria.
Neutral-atom scattering factors, no anomalous dispersion.

The 12 most intense peaks (2θ from 15° to 90°), low angle first:
(hkl)  d_spacing  2theta  I_rel
0 0 1  5.389  16.45  100
2 0 1  3.507  25.40  54
1 3 1  3.214  27.76  67
3 1 0  3.000  29.78  48
2 4 0  2.702  33.15  79
0 0 2  2.694  33.25  83
3 1 1  2.621  34.21  43
1 5 0  2.561  35.03  44
2 4 1  2.416  37.22  55
3 1 2  2.004  45.24  33
2 4 2  1.908  47.66  58
1 5 2  1.856  49.08  35

Crystal structure
Unit cell a=9.2378 b=13.3292 c=5.3885 alpha=90.00 beta=90.00 gamma=90.00
Space group Cmmm (No. 65)
Symmetry-distinct sites (fractional):
K 0.0000 0.0000 0.0000
Tl 0.0000 0.2985 0.0000
Tl 0.0000 0.5000 0.5000
Tl 0.2007 0.1289 0.5000
Pd 0.0000 0.2908 0.5000